Computed X-ray powder pattern
Compound: PtS
Radiation: λ = 1.5418 Å (Cu Kα)
Structure: a cell relaxed with PBE
Kinematic intensities with the Lorentz-polarization factor, no thermal factor.

Largest 6 diffraction maxima, sorted by position, 2θ = 15–90°:
d/Å  I/Imax  (hkl)
2.965  66  1 0 2
2.921  58  2 0 1
2.907  58  2 1 0
2.697  43  1 1 2
2.664  100  2 1 1
1.749  40  1 3 2

Crystal structure
```
data_PtS
_space_group_name_H-M_alt 'P 42/m'
_space_group_IT_number 84
_cell_length_a 6.499
_cell_length_b 6.499
_cell_length_c 6.662
_cell_angle_alpha 90.00
_cell_angle_beta 90.00
_cell_angle_gamma 90.00
loop_
_space_group_symop_operation_xyz
'x,y,z'
'-x,-y,-z'
'-y,x,z+1/2'
'y,-x,-z+1/2'
'-x,-y,z'
'x,y,-z'
'y,-x,z+1/2'
'-y,x,-z+1/2'
loop_
_atom_site_label
_atom_site_type_symbol
_atom_site_fract_x
_atom_site_fract_y
_atom_site_fract_z
_atom_site_occupancy
Pt1 Pt 0.000 0.000 0.250 1
Pt2 Pt 0.000 0.500 0.000 1
Pt3 Pt 0.256 0.471 0.500 1
S1 S 0.193 0.692 0.227 1
```